Computed XRD peak list
Compound: Ce12HoOs7
Radiation: λ = 1.5418 Å (Cu Kα)
Structure: a structure optimized by DFT (GGA-PBE)
Kinematic intensities with the Lorentz-polarization factor, no thermal factor.

Peak list (10 most intense, 2θ from 10° to 90°, sorted by position)
- 12.51 deg, I 13
- 17.06 deg, I 11
- 21.21 deg, I 13
- 32.03 deg, I 100
- 45.62 deg, I 37
- 46.25 deg, I 33
- 57.37 deg, I 16
- 66.99 deg, I 10
- 75.72 deg, I 15
- 76.66 deg, I 13

Atomic structure:
a = 8.802 Å, b = 8.802 Å, c = 8.802 Å
α = 107.04°, β = 107.04°, γ = 107.04°
Atoms (fractional coordinates):
1 Ce 0.037 0.343 0.122
2 Ce 0.122 0.037 0.343
3 Ce 0.187 0.723 0.574
4 Ce 0.277 0.426 0.813
5 Ce 0.343 0.122 0.037
6 Ce 0.426 0.813 0.277
7 Ce 0.574 0.187 0.723
8 Ce 0.657 0.878 0.963
9 Ce 0.723 0.574 0.187
10 Ce 0.813 0.277 0.426
11 Ce 0.878 0.963 0.657
12 Ce 0.963 0.657 0.878
13 Ho 0.500 0.500 0.500
14 Os 0.000 0.000 0.000
15 Os 0.138 0.364 0.478
16 Os 0.364 0.478 0.138
17 Os 0.478 0.138 0.364
18 Os 0.522 0.862 0.636
19 Os 0.636 0.522 0.862
20 Os 0.862 0.636 0.522